This entry pairs a crystal structure of Zn6IrPt with its simulated powder X-ray diffraction pattern. Radiation: a wavelength of 1.5418 Å. Structure: a crystal structure in Alexandria, relaxed with GGA-PBE.

Structural model:
```
Zn6IrPt
1.0
0.0000 3.7625 5.3574
2.8946 0.0000 5.3574
2.8946 3.7625 0.0000
Zn Ir Pt
6 1 1
direct
0.1217 0.1217 0.3783
0.2473 0.2473 0.7527
0.3783 0.3783 0.1217
0.6217 0.6217 0.8783
0.7527 0.7527 0.2473
0.8783 0.8783 0.6217
0.0000 0.0000 0.0000
0.5000 0.5000 0.5000
```

Most intense lines, 15° ≤ 2θ ≤ 90°, in order of rising 2θ:
d = 5.357 Å, I = 39; d = 2.294 Å, I = 100; d = 2.182 Å, I = 86; d = 1.966 Å, I = 63; d = 1.881 Å, I = 27; d = 1.359 Å, I = 36